# 1
The following is a computed X-ray powder pattern of Ho6TmTh4. It was derived from a DFT-relaxed cell (GGA-PBE, Alexandria), using CuKα.
Intensities are scaled so that the largest is 100.

Crystal structure
a = 3.410 Å, b = 5.810 Å, c = 35.654 Å
α = 90.00°, β = 90.00°, γ = 90.00°
Space group Immm (No. 71)
Symmetry-distinct sites (fractional):
Ho1 0.000 0.000 0.095
Ho2 0.000 0.000 0.267
Ho3 0.000 0.000 0.369
Tm1 0.000 0.500 0.500
Th1 0.000 0.500 0.044
Th2 0.000 0.500 0.318

Principal peaks in the range 15 to 90 degrees two-theta, in order of rising 2θ:
2θ 27.2, intensity 25, (1 0 3)
2θ 30.8, intensity 66, (0 2 0)
2θ 31.6, intensity 100, (0 1 11)
2θ 34.0, intensity 39, (1 1 6)
2θ 36.6, intensity 38, (1 1 8)
2θ 55.3, intensity 20, (0 3 11)
2θ 56.8, intensity 21, (0 0 22)
2θ 63.7, intensity 26, (2 1 11)

=====

# 2
The following is a computed X-ray powder pattern of Ho2Tm4Th3. It was derived from a DFT-relaxed cell (GGA-PBE, Alexandria), using CuKα.
Intensities are scaled so that the largest is 100.

Crystal structure
a = 3.5353 Å, b = 3.5353 Å, c = 26.1897 Å
α = 90.00°, β = 90.00°, γ = 120.00°
Space group P3m1 (No. 156)
Symmetry-distinct sites (fractional):
Ho1 0.0000 0.0000 0.0000
Ho2 0.0000 0.0000 0.2206
Tm1 0.0000 0.0000 0.3463
Tm2 0.0000 0.0000 0.5658
Tm3 0.3333 0.6667 0.6719
Tm4 0.3333 0.6667 0.8928
Th1 0.0000 0.0000 0.7824
Th2 0.3333 0.6667 0.1128
Th3 0.3333 0.6667 0.4536

Principal peaks in the range 15 to 90 degrees two-theta, in order of rising 2θ:
2θ 29.2, intensity 46, (1 0 0)
2θ 30.7, intensity 50, (0 0 9)
2θ 32.3, intensity 68, (0 1 4)
2θ 33.9, intensity 100, (1 0 5)
2θ 42.9, intensity 31, (1 0 9)
2θ 51.7, intensity 38, (1 1 0)
2θ 57.8, intensity 31, (0 1 14)
2θ 61.4, intensity 43, (1 1 9)